For BaRuO4, a crystal structure in Alexandria, relaxed with PBE gives the simulated PXRD pattern in this record (Cu Kα (λ = 1.5418 Å)).
Neutral-atom scattering factors, no anomalous dispersion.

abc: 3.760 3.760 6.422
angles: 90.00 90.00 90.00
Space group P4/mmm (No. 123)
Inequivalent atoms, fractional coordinates:
Ba1 0.000 0.000 0.000
Ru1 0.500 0.500 0.500
O1 0.000 0.500 0.500
O2 0.500 0.500 0.197

Top 10 peaks for 10° ≤ 2θ ≤ 80°, sorted by position:
hkl	2θ (°)	d/Å	intensity
1 0 1	27.49	3.245	100
0 0 2	27.78	3.211	29
1 1 0	33.71	2.658	32
1 1 2	44.23	2.048	17
2 0 0	48.42	1.880	18
1 0 3	48.96	1.860	27
2 1 1	56.58	1.627	26
2 0 2	56.75	1.622	15
2 1 3	71.33	1.322	17
2 0 4	78.32	1.221	7